Structure and calculated powder XRD pattern of Hg2AuI2 (a cell relaxed with PBE; copper Kα).
Lines closer than 0.1° are merged.

The 8 most intense peaks (2θ from 15° to 90°), by angle:
two_theta, I/Imax, (hkl)
21.4, 545, 0 0 2
29.4, 1000, 2 0 1
31.0, 345, 2 0 0
32.4, 763, 0 0 3
34.0, 691, 1 3 1
36.1, 323, 1 3 0
37.6, 520, 1 -3 0
43.5, 344, 2 0 -2

Structure:
```
data_Hg2AuI2
_symmetry_space_group_name_H-M 'P 1'
_symmetry_Int_Tables_number 1
_cell_length_a 6.133
_cell_length_b 8.338
_cell_length_c 9.026
_cell_angle_alpha 75.85
_cell_angle_beta 70.38
_cell_angle_gamma 82.69
loop_
_symmetry_equiv_pos_as_xyz
'x,y,z'
loop_
_atom_site_label
_atom_site_type_symbol
_atom_site_fract_x
_atom_site_fract_y
_atom_site_fract_z
_atom_site_occupancy
Hg1 Hg 0.243 0.083 0.004 1
Hg2 Hg 0.257 0.417 0.995 1
Hg3 Hg 0.743 0.583 0.005 1
Hg4 Hg 0.757 0.917 0.996 1
Au1 Au 0.250 0.750 0.000 1
Au2 Au 0.750 0.250 0.000 1
I1 I 0.104 0.689 0.317 1
I2 I 0.396 0.811 0.683 1
I3 I 0.604 0.189 0.317 1
I4 I 0.896 0.311 0.683 1
```


Structure and calculated powder XRD pattern of HgAuI (a cell relaxed with PBE; copper Kα).
Lines closer than 0.1° are merged.

The 8 most intense peaks (2θ from 15° to 90°), by angle:
two_theta, I/Imax, (hkl)
16.3, 743, 1 0 0
30.9, 1000, 1 1 -2
33.0, 532, 2 0 0
35.2, 716, 0 1 2
45.8, 664, 1 1 2
45.9, 342, 3 1 -2
46.1, 211, 2 0 -4
72.9, 220, 0 3 2

Structure:
```
data_HgAuI
_symmetry_space_group_name_H-M 'P 1'
_symmetry_Int_Tables_number 1
_cell_length_a 6.699
_cell_length_b 4.263
_cell_length_c 7.872
_cell_angle_alpha 90.00
_cell_angle_beta 125.84
_cell_angle_gamma 90.00
loop_
_symmetry_equiv_pos_as_xyz
'x,y,z'
loop_
_atom_site_label
_atom_site_type_symbol
_atom_site_fract_x
_atom_site_fract_y
_atom_site_fract_z
_atom_site_occupancy
Hg1 Hg 0.000 0.000 0.250 1
Hg2 Hg 0.000 0.000 0.750 1
Au1 Au 0.000 0.500 0.000 1
Au2 Au 0.000 0.500 0.500 1
I1 I 0.500 0.342 0.250 1
I2 I 0.500 0.658 0.750 1
```